# Mn6O5F7
Calculated PXRD pattern, copper Kα. Input: DFT lattice parameters and positions (GGA+U).

Atomic structure:
```
18
Lattice="3.2266 -3.4882 0.0000 3.2266 3.4882 0.0000 -0.0050 0.0000 9.4546" Properties=species:S:1:pos:R:3 pbc="T T T"
Mn 0.0000 0.0000 0.0000
Mn 3.1965 3.3055 6.2299
Mn 3.2516 3.3055 3.2247
Mn 3.0534 -0.2199 1.5100
Mn 3.2241 -0.1777 4.7273
Mn 3.3947 -0.2199 7.9446
O 1.1632 -0.1315 1.5855
O 1.2628 -0.1912 4.7427
O 3.2266 -1.4328 0.0000
O 5.1854 -0.1912 4.7119
O 5.2850 -0.1315 7.8691
F 1.3803 -0.1494 7.7714
F 3.2266 1.3684 0.0000
F 3.1698 1.1089 3.0529
F 3.2783 1.1089 6.4017
F 3.1896 -1.5292 3.1639
F 3.2585 -1.5292 6.2907
F 5.0679 -0.1494 1.6832
```

Most intense lines, 2θ = 10–90°, low angle first:
2θ/deg  I_rel
25.54  100.0
27.65  84.7
34.17  96.0
37.99  13.8
38.50  18.6
39.99  17.8
50.80  63.7
52.46  18.1
53.20  47.4
57.09  13.9
58.58  17.8
66.19  38.6